The following is a calculated PXRD pattern of Tb2Dy2InGa4. It was derived from a structure optimized by DFT (PBE), using Cu Ka.

Structure:
abc: 7.090 7.090 9.161
angles: 90.00 90.00 90.00
Space group I4/mmm (No. 139)
Inequivalent atoms, fractional coordinates:
Tb1 0.000 0.000 0.185 (multiplicity 4)
Dy1 0.000 0.500 0.250 (multiplicity 4)
In1 0.000 0.000 0.500 (multiplicity 2)
Ga1 0.239 0.239 0.000 (multiplicity 8)

Top 6 peaks for 10° ≤ 2θ ≤ 90°, sorted by position:
d [Å]  Position (°2θ)  I_rel  h k l
3.545  25.12  295  2 0 0
2.804  31.92  1000  2 0 2
2.507  35.82  603  2 2 0
2.200  41.03  300  2 1 3
1.773  51.56  223  4 0 0
1.498  61.93  290  4 2 2